No. 1
This entry pairs a crystal structure of YTlCo with its simulated powder diffraction line list. Radiation: Cu Kα. Structure: a DFT-relaxed cell (GGA-PBE, Alexandria).

Top 12 peaks for 15 to 90 degrees two-theta, in order of falling intensity:
- 2θ 34.36, I = 100, (2 0 2)
- 2θ 32.69, I = 94, (1 1 2)
- 2θ 28.71, I = 81, (1 1 1)
- 2θ 46.95, I = 48, (3 1 -1)
- 2θ 26.72, I = 37, (1 1 0)
- 2θ 46.90, I = 33, (0 2 0)
- 2θ 63.80, I = 28, (3 1 4)
- 2θ 40.71, I = 27, (0 0 5)
- 2θ 40.17, I = 25, (2 0 3)
- 2θ 78.99, I = 20, (4 2 -4)
- 2θ 29.84, I = 18, (2 0 1)
- 2θ 58.37, I = 18, (4 0 1)

Crystal structure
```
YTlCo
1.0
6.702 0.000 0.000
0.000 3.874 0.000
-2.209 0.000 11.083
Y Tl Co
4 4 4
Cartesian
0.000 0.000 0.000 Y
0.010 0.000 3.663 Y
3.351 1.937 0.000 Y
3.361 1.937 3.663 Y
-1.098 1.937 8.542 Tl
1.129 1.937 6.213 Tl
2.253 0.000 8.542 Tl
4.480 0.000 6.213 Tl
1.122 1.937 1.831 Co
2.240 0.000 1.835 Co
4.473 0.000 1.831 Co
5.591 1.937 1.835 Co
```

No. 2
This entry pairs a crystal structure of ZrTl2Co with its simulated powder diffraction line list. Radiation: Cu Kα. Structure: a DFT-relaxed cell (GGA-PBE, Alexandria).

Top 12 peaks for 15 to 90 degrees two-theta, in order of falling intensity:
- 2θ 35.05, I = 100, (1 0 2)
- 2θ 29.50, I = 53, (1 0 1)
- 2θ 39.18, I = 51, (1 1 0)
- 2θ 68.35, I = 29, (2 1 2)
- 2θ 51.68, I = 28, (1 1 3)
- 2θ 32.34, I = 26, (0 0 3)
- 2θ 62.83, I = 18, (1 0 5)
- 2θ 56.61, I = 17, (2 0 0)
- 2θ 89.60, I = 14, (2 1 5)
- 2θ 66.72, I = 13, (2 0 3)
- 2θ 65.12, I = 12, (2 1 1)
- 2θ 52.28, I = 7, (1 0 4)

Crystal structure
```
ZrTl2Co
1.0
3.252 0.000 0.000
0.000 3.252 0.000
0.000 0.000 8.304
Zr Tl Co
1 2 1
Cartesian
0.000 0.000 0.000 Zr
0.000 0.000 3.192 Tl
1.626 1.626 5.871 Tl
1.626 1.626 1.242 Co
```